Structure and computed PXRD pattern of B2Pt2Rh (a DFT-relaxed cell (GGA-PBE, Alexandria); Cu Kα, 1.54184 Å).
Intensities are scaled so that the largest is 100.

Top 12 peaks for 2θ = 10–90°, in order of rising 2θ:
Position (°2θ)  d (Å)  I_rel  index
19.32  4.594  93  1 0 0
34.20  2.622  100  0 2 0
34.34  2.611  88  2 0 1
35.36  2.538  73  1 1 2
35.77  2.510  54  1 2 0
37.85  2.377  78  0 0 2
39.05  2.307  72  -1 1 1
39.50  2.281  75  1 -1 2
39.61  2.275  37  2 1 2
46.93  1.936  73  2 2 0
52.22  1.752  49  0 2 -2
55.25  1.663  42  2 -2 1

Structural model:
Lattice parameters (Å, degrees): 5.3772 5.3993 5.4462 82.87 60.79 76.23
Element x y z (fractional)
B (0.1258, 0.0002, 0.2344)
B (0.3480, 0.5001, 0.7839)
B (0.6520, 0.4999, 0.2161)
B (0.8742, 0.9998, 0.7656)
Pt (0.3370, 0.8284, 0.4982)
Pt (0.4858, 0.2493, 0.0640)
Pt (0.5142, 0.7507, 0.9360)
Pt (0.6630, 0.1716, 0.5018)
Rh (0.0433, 0.2478, 0.9458)
Rh (0.9567, 0.7522, 0.0542)